Structure and simulated powder diffraction line list of Mn2NiO6 (a DFT-relaxed cell (GGA+U, Alexandria); copper Kα).
Neutral-atom scattering factors, no anomalous dispersion.

Cell and atoms:
abc: 5.010 5.010 9.947
angles: 90.00 90.00 59.95
Fractional coordinates of all 18 atoms:
Mn1 0.167 0.167 0.000
Mn2 0.333 0.333 0.500
Mn3 0.667 0.667 0.500
Mn4 0.833 0.833 0.000
Ni1 0.000 0.000 0.500
Ni2 0.500 0.500 0.000
O1 0.000 0.328 0.404
O2 0.000 0.672 0.596
O3 0.172 0.500 0.096
O4 0.172 0.828 0.904
O5 0.328 0.000 0.596
O6 0.328 0.672 0.404
O7 0.500 0.172 0.904
O8 0.500 0.828 0.096
O9 0.672 0.000 0.404
O10 0.672 0.328 0.596
O11 0.828 0.172 0.096
O12 0.828 0.500 0.904

Top 10 peaks for 2θ from 10° to 90°, in order of rising 2θ:
| Position (°2θ) | d [Å] | I (rel.) |
| --- | --- | --- |
| 17.8 | 4.974 | 100 |
| 35.9 | 2.503 | 6 |
| 37.0 | 2.429 | 26 |
| 40.3 | 2.236 | 19 |
| 45.4 | 1.999 | 27 |
| 51.8 | 1.764 | 11 |
| 59.3 | 1.558 | 14 |
| 65.2 | 1.430 | 13 |
| 77.2 | 1.236 | 5 |
| 87.2 | 1.118 | 6 |